No. 1
# Tl7Se4S
Simulated X-ray powder pattern, CuKα. Input: DFT lattice parameters and positions (PBE).
Lines closer than 0.1° are merged.

Main lines, low angle first (10 to 80 degrees two-theta):
d/Å	2θ/deg	Rel. int.	hkl
3.666	24.3	31	4 0 -1
3.287	27.1	100	3 1 -1
3.204	27.8	41	3 1 0
3.131	28.5	50	3 1 -2
3.097	28.8	54	2 0 -4
3.008	29.7	66	2 0 3
2.226	40.5	42	0 2 0
2.190	41.2	26	5 1 1
1.807	50.5	28	2 2 -4
1.789	51.0	30	2 2 3

Cell and atoms:
Cell lengths 14.673, 4.452, 12.447 Å; angles 90.00, 109.32, 90.00 degrees
Space group Cm (No. 8)
Asymmetric unit:
1 Tl 0.000 0.000 0.000 [2 per cell]
2 Tl 0.017 0.500 0.287 [2 per cell]
3 Tl 0.108 0.500 0.598 [2 per cell]
4 Tl 0.236 0.000 0.865 [2 per cell]
5 Tl 0.267 0.500 0.147 [2 per cell]
6 Tl 0.304 0.000 0.438 [2 per cell]
7 Tl 0.435 0.500 0.699 [2 per cell]
8 Se 0.114 0.500 0.865 [2 per cell]
9 Se 0.144 0.000 0.235 [2 per cell]
10 Se 0.272 0.000 0.656 [2 per cell]
11 Se 0.427 0.500 0.429 [2 per cell]
12 S 0.384 0.000 0.058 [2 per cell]

---

No. 2
# Cs2PaPtS4
Simulated X-ray powder pattern, CuKα. Input: DFT lattice parameters and positions (PBE).
Lines closer than 0.1° are merged.

Main lines, low angle first (10 to 80 degrees two-theta):
d/Å	2θ/deg	Rel. int.	hkl
5.805	15.3	18	1 0 1
3.887	22.9	54	2 0 0
3.418	26.1	100	1 1 2
2.749	32.6	29	2 2 0
2.142	42.2	57	3 1 2
1.903	47.8	21	2 0 4
1.738	52.7	17	2 4 0
1.709	53.6	14	2 2 4
1.690	54.3	13	3 3 2
1.439	64.8	16	1 5 2

Cell and atoms:
Cell lengths 7.774, 7.774, 8.728 Å; angles 90.00, 90.00, 90.00 degrees
Space group I-4 (No. 82)
Asymmetric unit:
1 Cs 0.000 0.000 0.000 [2 per cell]
2 Cs 0.000 0.500 0.250 [2 per cell]
3 Pa 0.000 0.500 0.750 [2 per cell]
4 Pt 0.000 0.000 0.500 [2 per cell]
5 S 0.130 0.737 0.585 [8 per cell]

---

Repeat the second record exactly.
# Cs2PaPtS4
Simulated X-ray powder pattern, CuKα. Input: DFT lattice parameters and positions (PBE).
Lines closer than 0.1° are merged.

Main lines, low angle first (10 to 80 degrees two-theta):
d/Å	2θ/deg	Rel. int.	hkl
5.805	15.3	18	1 0 1
3.887	22.9	54	2 0 0
3.418	26.1	100	1 1 2
2.749	32.6	29	2 2 0
2.142	42.2	57	3 1 2
1.903	47.8	21	2 0 4
1.738	52.7	17	2 4 0
1.709	53.6	14	2 2 4
1.690	54.3	13	3 3 2
1.439	64.8	16	1 5 2

Cell and atoms:
Cell lengths 7.774, 7.774, 8.728 Å; angles 90.00, 90.00, 90.00 degrees
Space group I-4 (No. 82)
Asymmetric unit:
1 Cs 0.000 0.000 0.000 [2 per cell]
2 Cs 0.000 0.500 0.250 [2 per cell]
3 Pa 0.000 0.500 0.750 [2 per cell]
4 Pt 0.000 0.000 0.500 [2 per cell]
5 S 0.130 0.737 0.585 [8 per cell]